Entry 1:
# Sr3Os2N4
Simulated powder X-ray diffraction pattern, Cu Kα. Input: DFT lattice parameters and positions (GGA-PBE).

Crystal structure
Cell: 11.445 9.120 5.640 Å, 90.00 94.00 90.00°
Space group C2/c (No. 15)
Unique sites:
Sr: 0.000 0.098 0.250
Sr: 0.122 0.368 0.537
Os: 0.203 0.135 0.909
N: 0.119 0.319 0.026
N: 0.171 0.054 0.589

Most intense lines, 5 to 70 degrees two-theta, low angle first:
2θ (°)	d [Å]	intensity
15.52	5.709	40
19.67	4.512	23
20.53	4.325	15
29.09	3.069	60
30.27	2.953	100
33.74	2.657	30
39.53	2.280	28
40.58	2.223	22
40.73	2.215	26
44.17	2.050	20
46.90	1.937	12
49.95	1.826	16

***

Entry 2:
# KDyP4O12
Simulated powder X-ray diffraction pattern, Cu Kα. Input: DFT lattice parameters and positions (GGA-PBE).

Crystal structure
Cell: 7.977 12.632 10.578 Å, 90.00 111.21 90.00°
Space group C2/c (No. 15)
Unique sites:
K: 0.000 0.189 0.250
Dy: 0.000 0.120 0.750
P: 0.046 0.332 0.994
P: 0.223 0.473 0.449
O: 0.049 0.248 0.608
O: 0.075 0.432 0.911
O: 0.100 0.371 0.441
O: 0.148 0.013 0.408
O: 0.209 0.037 0.665
O: 0.211 0.304 0.113

Most intense lines, 5 to 70 degrees two-theta, low angle first:
2θ (°)	d [Å]	intensity
13.82	6.409	26
13.94	6.352	57
16.67	5.319	100
18.98	4.675	58
23.93	3.718	28
24.22	3.675	39
26.01	3.426	83
27.44	3.251	40
27.62	3.229	81
32.37	2.765	21
37.36	2.407	32
48.94	1.861	37

***

Entry 3:
# BaCaCo2N4
Simulated powder X-ray diffraction pattern, Cu Kα. Input: DFT lattice parameters and positions (GGA-PBE).

Crystal structure
Cell: 12.625 8.103 8.026 Å, 90.00 90.00 90.00°
Space group Pna2_1 (No. 33)
Unique sites:
Ba: 0.086 0.215 0.000
Ca: 0.196 0.649 0.887
Co: 0.014 0.373 0.625
Co: 0.016 0.160 0.422
N: 0.103 0.541 0.115
N: 0.104 0.902 0.879
N: 0.121 0.420 0.722
N: 0.126 0.126 0.326

Most intense lines, 5 to 70 degrees two-theta, low angle first:
2θ (°)	d [Å]	intensity
14.03	6.312	72
17.85	4.969	100
22.15	4.013	24
25.62	3.477	29
25.76	3.459	29
28.44	3.138	19
28.57	3.125	22
30.40	2.941	28
32.42	2.761	28
35.33	2.540	24
37.91	2.373	28
45.99	1.973	31

***

Entry 4:
# MgTi2Si2O8
Simulated powder X-ray diffraction pattern, Cu Kα. Input: DFT lattice parameters and positions (GGA-PBE).

Crystal structure
Cell: 5.496 6.041 6.067 Å, 79.09 65.56 62.96°
Space group P1 (No. 1)
Unique sites:
Mg: 0.000 0.000 0.000
Ti: 0.270 0.460 0.998
Ti: 0.899 0.202 0.499
Si: 0.439 0.121 0.499
Si: 0.714 0.572 0.998
O: 0.232 0.975 0.636
O: 0.269 0.289 0.315
O: 0.359 0.733 0.077
O: 0.441 0.293 0.679
O: 0.742 0.362 0.832
O: 0.793 0.973 0.364
O: 0.898 0.358 0.162
O: 0.906 0.734 0.923

Most intense lines, 5 to 70 degrees two-theta, low angle first:
2θ (°)	d [Å]	intensity
16.47	5.381	38
23.08	3.854	100
31.03	2.882	16
31.05	2.880	15
32.42	2.762	21
35.89	2.502	15
37.18	2.418	15
39.73	2.269	19
47.30	1.922	18
50.77	1.798	9
51.95	1.760	13
57.60	1.600	11

***

Entry 5:
# Sb2Ir
Simulated powder X-ray diffraction pattern, Cu Kα. Input: DFT lattice parameters and positions (GGA-PBE).

Crystal structure
Cell: 6.694 6.640 6.795 Å, 90.00 114.93 90.00°
Space group P2_1/c (No. 14)
Unique sites:
Sb: 0.149 0.135 0.379
Sb: 0.345 0.637 0.679
Ir: 0.272 0.001 0.791

Most intense lines, 5 to 70 degrees two-theta, low angle first:
2θ (°)	d [Å]	intensity
20.57	4.318	100
28.98	3.081	64
29.43	3.035	77
31.20	2.867	95
32.03	2.795	48
32.44	2.760	51
41.84	2.159	40
42.32	2.136	57
42.97	2.105	76
43.90	2.062	48
48.17	1.889	81
50.06	1.822	42

***

Entry 6:
# ZnCu3NiSe4
Simulated powder X-ray diffraction pattern, Cu Kα. Input: DFT lattice parameters and positions (GGA-PBE).

Crystal structure
Cell: 5.634 5.634 5.634 Å, 90.00 90.00 90.00°
Space group P-43m (No. 215)
Unique sites:
Zn: 0.000 0.000 0.000
Cu: 0.000 0.500 0.500
Ni: 0.500 0.500 0.500
Se: 0.254 0.254 0.746

Most intense lines, 5 to 70 degrees two-theta, low angle first:
2θ (°)	d [Å]	intensity
15.73	5.634	9
22.32	3.984	7
27.42	3.253	92
35.63	2.520	3
39.17	2.300	3
45.54	1.992	100
48.47	1.878	2
51.28	1.782	1
53.98	1.699	40
59.12	1.563	1
61.59	1.506	2
66.37	1.408	15